Entry 1:
# Zr5SiSn3
Theoretical PXRD pattern, λ = 1.5418 Å (Cu Kα). Input: DFT lattice parameters and positions (PBE).
Intensities are scaled so that the largest is 100.

Peak list (10 most intense, 10° ≤ 2θ ≤ 80°, in order of rising 2θ)
2θ = 30.17°, rel. 21; 2θ = 31.39°, rel. 17; 2θ = 34.94°, rel. 100; 2θ = 35.73°, rel. 66; 2θ = 36.69°, rel. 91; 2θ = 46.03°, rel. 28; 2θ = 52.15°, rel. 18; 2θ = 56.71°, rel. 25; 2θ = 70.01°, rel. 14; 2θ = 74.33°, rel. 16

Cell lengths 8.7059, 8.7059, 5.9253 Å; angles 90.00, 90.00, 120.00 degrees
Fractional coordinates of all 18 atoms:
Zr (0.0000, 0.2571, 0.2500)
Zr (0.0000, 0.7429, 0.7500)
Zr (0.2571, 0.0000, 0.2500)
Zr (0.2571, 0.2571, 0.7500)
Zr (0.3333, 0.6667, 0.0000)
Zr (0.3333, 0.6667, 0.5000)
Zr (0.6667, 0.3333, 0.0000)
Zr (0.6667, 0.3333, 0.5000)
Zr (0.7429, 0.0000, 0.7500)
Zr (0.7429, 0.7429, 0.2500)
Si (0.0000, 0.0000, 0.0000)
Si (0.0000, 0.0000, 0.5000)
Sn (0.0000, 0.3939, 0.7500)
Sn (0.0000, 0.6061, 0.2500)
Sn (0.3939, 0.0000, 0.7500)
Sn (0.3939, 0.3939, 0.2500)
Sn (0.6061, 0.0000, 0.2500)
Sn (0.6061, 0.6061, 0.7500)

Entry 2:
# Sr2Si
Theoretical PXRD pattern, λ = 1.5418 Å (Cu Kα). Input: DFT lattice parameters and positions (PBE).
Intensities are scaled so that the largest is 100.

Peak list (10 most intense, 10° ≤ 2θ ≤ 80°, in order of rising 2θ)
2θ = 27.65°, rel. 100; 2θ = 27.96°, rel. 39; 2θ = 29.49°, rel. 72; 2θ = 29.96°, rel. 26; 2θ = 32.91°, rel. 38; 2θ = 34.37°, rel. 27; 2θ = 34.84°, rel. 46; 2θ = 49.75°, rel. 19; 2θ = 50.69°, rel. 20; 2θ = 54.00°, rel. 28

Cell lengths 8.1318, 5.1496, 9.6172 Å; angles 90.00, 90.00, 90.00 degrees
Fractional coordinates of all 12 atoms:
Sr (0.0188, 0.2500, 0.1733)
Sr (0.1505, 0.2500, 0.5779)
Sr (0.3495, 0.7500, 0.0779)
Sr (0.4812, 0.7500, 0.6733)
Sr (0.5188, 0.2500, 0.3267)
Sr (0.6505, 0.2500, 0.9221)
Sr (0.8495, 0.7500, 0.4221)
Sr (0.9812, 0.7500, 0.8267)
Si (0.2477, 0.7500, 0.3975)
Si (0.2523, 0.2500, 0.8975)
Si (0.7477, 0.7500, 0.1025)
Si (0.7523, 0.2500, 0.6025)

Entry 3:
# SrSi6
Theoretical PXRD pattern, λ = 1.5418 Å (Cu Kα). Input: DFT lattice parameters and positions (PBE).
Intensities are scaled so that the largest is 100.

Peak list (10 most intense, 10° ≤ 2θ ≤ 80°, in order of rising 2θ)
2θ = 22.91°, rel. 36; 2θ = 26.47°, rel. 19; 2θ = 31.59°, rel. 100; 2θ = 33.68°, rel. 62; 2θ = 34.73°, rel. 32; 2θ = 35.24°, rel. 74; 2θ = 40.18°, rel. 44; 2θ = 54.19°, rel. 42; 2θ = 54.49°, rel. 40; 2θ = 59.66°, rel. 16

Cell lengths 5.6324, 5.6324, 11.7092 Å; angles 90.00, 90.00, 133.03 degrees
Fractional coordinates of all 14 atoms:
Sr (0.2244, 0.7756, 0.7500)
Sr (0.7756, 0.2244, 0.2500)
Si (0.0594, 0.9406, 0.1473)
Si (0.0594, 0.9406, 0.3527)
Si (0.2539, 0.7461, 0.0378)
Si (0.2539, 0.7461, 0.4622)
Si (0.4775, 0.5225, 0.1007)
Si (0.4775, 0.5225, 0.3993)
Si (0.5225, 0.4775, 0.6007)
Si (0.5225, 0.4775, 0.8993)
Si (0.7461, 0.2539, 0.5378)
Si (0.7461, 0.2539, 0.9622)
Si (0.9406, 0.0594, 0.6473)
Si (0.9406, 0.0594, 0.8527)

Copy entry 3 word for word.
# SrSi6
Theoretical PXRD pattern, λ = 1.5418 Å (Cu Kα). Input: DFT lattice parameters and positions (PBE).
Intensities are scaled so that the largest is 100.

Peak list (10 most intense, 10° ≤ 2θ ≤ 80°, in order of rising 2θ)
2θ = 22.91°, rel. 36; 2θ = 26.47°, rel. 19; 2θ = 31.59°, rel. 100; 2θ = 33.68°, rel. 62; 2θ = 34.73°, rel. 32; 2θ = 35.24°, rel. 74; 2θ = 40.18°, rel. 44; 2θ = 54.19°, rel. 42; 2θ = 54.49°, rel. 40; 2θ = 59.66°, rel. 16

Cell lengths 5.6324, 5.6324, 11.7092 Å; angles 90.00, 90.00, 133.03 degrees
Fractional coordinates of all 14 atoms:
Sr (0.2244, 0.7756, 0.7500)
Sr (0.7756, 0.2244, 0.2500)
Si (0.0594, 0.9406, 0.1473)
Si (0.0594, 0.9406, 0.3527)
Si (0.2539, 0.7461, 0.0378)
Si (0.2539, 0.7461, 0.4622)
Si (0.4775, 0.5225, 0.1007)
Si (0.4775, 0.5225, 0.3993)
Si (0.5225, 0.4775, 0.6007)
Si (0.5225, 0.4775, 0.8993)
Si (0.7461, 0.2539, 0.5378)
Si (0.7461, 0.2539, 0.9622)
Si (0.9406, 0.0594, 0.6473)
Si (0.9406, 0.0594, 0.8527)